Starting from a GGA-PBE-relaxed structure, the powder XRD pattern of Ba2CeMnS5 was simulated for Cu Kα.

Main lines, sorted by position (2θ from 5° to 70°):
2θ 22.83, I 51.2; 2θ 25.85, I 23.0; 2θ 29.98, I 100.0; 2θ 30.80, I 39.5; 2θ 35.69, I 41.8; 2θ 42.81, I 35.1

Lattice parameters (Å, degrees): 9.1826 9.1826 12.9849 90.00 90.00 153.40
Positions (direct):
Ba 0.1142 0.8858 0.5000
Ba 0.1240 0.8760 0.1441
Ba 0.8760 0.1240 0.6441
Ba 0.8858 0.1142 0.0000
Ce 0.1985 0.8015 0.8372
Ce 0.8015 0.1985 0.3372
Mn 0.4440 0.5560 0.2431
Mn 0.5560 0.4440 0.7431
S 0.0422 0.9578 0.8280
S 0.2980 0.7020 0.4755
S 0.3138 0.6862 0.1928
S 0.3474 0.6526 0.8238
S 0.4982 0.5018 0.5859
S 0.5018 0.4982 0.0859
S 0.6526 0.3474 0.3238
S 0.6862 0.3138 0.6928
S 0.7020 0.2980 0.9755
S 0.9578 0.0422 0.3280